1.
The following is a theoretical XRD peak list of NaSe2O6. It was derived from a PBE-relaxed structure, using CuKα.
Lines closer than 0.1° are merged.

Largest 8 diffraction maxima, by angle, 2θ from 10° to 90°:
| hkl | 2θ (°) | d (Å) | I/Imax |
| --- | --- | --- | --- |
| 0 0 2 | 15.72 | 5.638 | 784 |
| 0 1 0 | 16.04 | 5.525 | 176 |
| 1 1 -1 | 22.48 | 3.955 | 1000 |
| 1 0 2 | 24.85 | 3.582 | 264 |
| 1 1 1 | 25.12 | 3.545 | 354 |
| 1 1 -3 | 29.83 | 2.995 | 292 |
| 2 0 -2 | 31.58 | 2.833 | 154 |
| 0 2 2 | 36.19 | 2.482 | 183 |

Cell and atoms:
a = 5.8576 Å, b = 5.5254 Å, c = 11.6348 Å
α = 90.00°, β = 104.28°, γ = 90.00°
Positions (direct):
Na  0.0000  0.0166  0.0000
Na  0.0000  0.9834  0.5000
Se  0.3342  0.3127  0.7909
Se  0.3342  0.6873  0.2909
Se  0.6611  0.1347  0.2267
Se  0.6611  0.8653  0.7267
O  0.1569  0.2197  0.6661
O  0.1569  0.7803  0.1661
O  0.2431  0.2403  0.9101
O  0.2431  0.7597  0.4101
O  0.4096  0.2948  0.2032
O  0.4096  0.7052  0.7032
O  0.6200  0.1309  0.8118
O  0.6200  0.8691  0.3118
O  0.7027  0.0450  0.0994
O  0.7027  0.9550  0.5994
O  0.8862  0.2551  0.3236
O  0.8862  0.7449  0.8236

***

2.
The following is a theoretical XRD peak list of Na2SeO9. It was derived from a PBE-relaxed structure, using CuKα.
Lines closer than 0.1° are merged.

Largest 8 diffraction maxima, by angle, 2θ from 10° to 90°:
| hkl | 2θ (°) | d (Å) | I/Imax |
| --- | --- | --- | --- |
| 1 1 0 | 16.24 | 5.458 | 530 |
| 1 0 2 | 17.39 | 5.100 | 1000 |
| 2 0 0 | 23.04 | 3.860 | 505 |
| 0 0 4 | 26.24 | 3.397 | 337 |
| 2 1 2 | 29.01 | 3.078 | 559 |
| 2 1 3 | 32.61 | 2.746 | 334 |
| 3 1 0 | 36.82 | 2.441 | 455 |
| 3 0 2 | 37.39 | 2.405 | 574 |

Cell and atoms:
a = 7.7195 Å, b = 7.7195 Å, c = 13.5873 Å
α = 90.00°, β = 90.00°, γ = 90.00°
Positions (direct):
Na  0.0000  0.1141  0.0000
Na  0.0000  0.8859  0.5000
Na  0.0904  0.5000  0.7500
Na  0.1141  0.0000  0.2500
Na  0.5000  0.0904  0.5000
Na  0.5000  0.9096  0.0000
Na  0.8859  0.0000  0.7500
Na  0.9096  0.5000  0.2500
Se  0.0000  0.4925  0.5000
Se  0.0000  0.5075  0.0000
Se  0.4925  0.0000  0.7500
Se  0.5075  0.0000  0.2500
O  0.0199  0.3748  0.0977
O  0.0199  0.6252  0.4023
O  0.1003  0.1003  0.6250
O  0.1003  0.8997  0.8750
O  0.1290  0.2023  0.7055
O  0.1290  0.7977  0.7945
O  0.2023  0.1290  0.5445
O  0.2023  0.8710  0.9555
O  0.2985  0.3285  0.2970
O  0.2985  0.6715  0.2030
O  0.3249  0.4600  0.9634
O  0.3249  0.5400  0.5366
O  0.3285  0.2985  0.9530
O  0.3285  0.7015  0.5470
O  0.3748  0.0199  0.1523
O  0.3748  0.9801  0.3477
O  0.4600  0.3249  0.2866
O  0.4600  0.6751  0.2134
O  0.5400  0.3249  0.7134
O  0.5400  0.6751  0.7866
O  0.6252  0.0199  0.8477
O  0.6252  0.9801  0.6523
O  0.6715  0.2985  0.0470
O  0.6715  0.7015  0.4530
O  0.6751  0.4600  0.0366
O  0.6751  0.5400  0.4634
O  0.7015  0.3285  0.7030
O  0.7015  0.6715  0.7970
O  0.7977  0.1290  0.4555
O  0.7977  0.8710  0.0445
O  0.8710  0.2023  0.2945
O  0.8710  0.7977  0.2055
O  0.8997  0.1003  0.3750
O  0.8997  0.8997  0.1250
O  0.9801  0.3748  0.9023
O  0.9801  0.6252  0.5977